No. 1
For Rb2LiTaCl6, DFT lattice parameters and positions (PBE) gives the theoretical powder XRD pattern in this record (a wavelength of 1.5418 Å).
Peak positions follow from Bragg's law for the DFT cell and can differ from measured ones.

Peak list (10 most intense, 10° ≤ 2θ ≤ 90°, in order of falling intensity)
| (hkl) | 2θ/deg | Rel. int. |
| --- | --- | --- |
| 2 2 0 | 24.72 | 100 |
| 1 1 1 | 15.07 | 86 |
| 4 0 0 | 35.25 | 81 |
| 4 4 0 | 50.70 | 54 |
| 3 1 1 | 29.08 | 48 |
| 4 2 2 | 43.53 | 46 |
| 6 4 2 | 69.00 | 24 |
| 8 4 0 | 85.22 | 24 |
| 2 2 2 | 30.40 | 22 |
| 6 2 0 | 57.20 | 21 |

Structure:
```
data_Rb2LiTaCl6
_chemical_formula_sum 'Rb8 Li4 Ta4 Cl24'
_space_group_name_H-M_alt 'F m -3 m'
_space_group_IT_number 225
_space_group_name_Hall '-F 4 2 3'
_cell_length_a 10.1849
_cell_length_b 10.1849
_cell_length_c 10.1849
_cell_angle_alpha 90.00
_cell_angle_beta 90.00
_cell_angle_gamma 90.00
loop_
_atom_site_label
_atom_site_type_symbol
_atom_site_fract_x
_atom_site_fract_y
_atom_site_fract_z
_atom_site_occupancy
Rb1 Rb 0.2500 0.2500 0.2500 1
Li1 Li 0.0000 0.0000 0.0000 1
Ta1 Ta 0.0000 0.0000 0.5000 1
Cl1 Cl 0.0000 0.0000 0.2559 1
```

=====

No. 2
For Rb2LiTbCl6, DFT lattice parameters and positions (PBE) gives the theoretical powder XRD pattern in this record (a wavelength of 1.5418 Å).
Peak positions follow from Bragg's law for the DFT cell and can differ from measured ones.

Peak list (10 most intense, 10° ≤ 2θ ≤ 90°, in order of falling intensity)
| (hkl) | 2θ/deg | Rel. int. |
| --- | --- | --- |
| 2 2 0 | 23.97 | 100 |
| 4 0 0 | 34.15 | 89 |
| 1 1 1 | 14.61 | 67 |
| 4 4 0 | 49.07 | 60 |
| 4 2 2 | 42.15 | 47 |
| 3 1 1 | 28.18 | 46 |
| 2 2 2 | 29.46 | 31 |
| 8 4 0 | 82.07 | 26 |
| 6 4 2 | 66.64 | 25 |
| 3 3 1 | 37.32 | 23 |

Structure:
```
data_Rb2LiTbCl6
_chemical_formula_sum 'Rb8 Li4 Tb4 Cl24'
_space_group_name_H-M_alt 'F m -3 m'
_space_group_IT_number 225
_space_group_name_Hall '-F 4 2 3'
_cell_length_a 10.5024
_cell_length_b 10.5024
_cell_length_c 10.5024
_cell_angle_alpha 90.00
_cell_angle_beta 90.00
_cell_angle_gamma 90.00
loop_
_atom_site_label
_atom_site_type_symbol
_atom_site_fract_x
_atom_site_fract_y
_atom_site_fract_z
_atom_site_occupancy
Rb1 Rb 0.2500 0.2500 0.2500 1
Li1 Li 0.0000 0.0000 0.0000 1
Tb1 Tb 0.0000 0.0000 0.5000 1
Cl1 Cl 0.0000 0.0000 0.2479 1
```

=====

No. 3
For Rb2LiVCl6, DFT lattice parameters and positions (PBE) gives the theoretical powder XRD pattern in this record (a wavelength of 1.5418 Å).
Peak positions follow from Bragg's law for the DFT cell and can differ from measured ones.

Peak list (10 most intense, 10° ≤ 2θ ≤ 90°, in order of falling intensity)
| (hkl) | 2θ/deg | Rel. int. |
| --- | --- | --- |
| 0 2 1 | 32.55 | 100 |
| 1 0 1 | 20.51 | 34 |
| 0 2 2 | 41.72 | 26 |
| 1 1 0 | 24.99 | 22 |
| 0 0 2 | 29.40 | 21 |
| 2 2 0 | 51.29 | 21 |
| 2 0 3 | 54.17 | 20 |
| 2 2 2 | 60.22 | 13 |
| 4 0 1 | 62.08 | 13 |
| 2 0 0 | 28.94 | 12 |

Structure:
```
data_Rb2LiVCl6
_chemical_formula_sum 'Rb2 Li1 V1 Cl6'
_space_group_name_H-M_alt 'P -3 m 1'
_space_group_IT_number 164
_space_group_name_Hall '-P 3 2"'
_cell_length_a 7.1251
_cell_length_b 7.1251
_cell_length_c 6.0762
_cell_angle_alpha 90.00
_cell_angle_beta 90.00
_cell_angle_gamma 120.00
loop_
_atom_site_label
_atom_site_type_symbol
_atom_site_fract_x
_atom_site_fract_y
_atom_site_fract_z
_atom_site_occupancy
Rb1 Rb 0.3333 0.6667 0.2429 1
Li1 Li 0.0000 0.0000 0.0000 1
V1 V 0.0000 0.0000 0.5000 1
Cl1 Cl 0.1570 0.3139 0.7322 1
```

=====

No. 4
For Rb2LiVCl6, DFT lattice parameters and positions (PBE) gives the theoretical powder XRD pattern in this record (a wavelength of 1.5418 Å).
Peak positions follow from Bragg's law for the DFT cell and can differ from measured ones.

Peak list (10 most intense, 10° ≤ 2θ ≤ 90°, in order of falling intensity)
| (hkl) | 2θ/deg | Rel. int. |
| --- | --- | --- |
| 2 2 2 | 30.88 | 100 |
| 4 0 0 | 35.81 | 86 |
| 2 2 0 | 25.11 | 56 |
| 4 4 0 | 51.55 | 55 |
| 6 2 2 | 61.31 | 35 |
| 4 2 2 | 44.24 | 24 |
| 8 4 0 | 86.86 | 23 |
| 1 1 1 | 15.30 | 19 |
| 4 4 4 | 64.35 | 18 |
| 6 6 2 | 84.15 | 14 |

Structure:
```
data_Rb2LiVCl6
_chemical_formula_sum 'Rb8 Li4 V4 Cl24'
_space_group_name_H-M_alt 'F m -3 m'
_space_group_IT_number 225
_space_group_name_Hall '-F 4 2 3'
_cell_length_a 10.0299
_cell_length_b 10.0299
_cell_length_c 10.0299
_cell_angle_alpha 90.00
_cell_angle_beta 90.00
_cell_angle_gamma 90.00
loop_
_atom_site_label
_atom_site_type_symbol
_atom_site_fract_x
_atom_site_fract_y
_atom_site_fract_z
_atom_site_occupancy
Rb1 Rb 0.2500 0.2500 0.2500 1
Li1 Li 0.0000 0.0000 0.0000 1
V1 V 0.0000 0.0000 0.5000 1
Cl1 Cl 0.0000 0.0000 0.2602 1
```

=====

No. 5
For LiSnCl3, DFT lattice parameters and positions (PBE) gives the theoretical powder XRD pattern in this record (a wavelength of 1.5418 Å).
Peak positions follow from Bragg's law for the DFT cell and can differ from measured ones.

Peak list (10 most intense, 10° ≤ 2θ ≤ 90°, in order of falling intensity)
| (hkl) | 2θ/deg | Rel. int. |
| --- | --- | --- |
| 1 0 1 | 17.17 | 100 |
| 0 2 1 | 30.49 | 83 |
| 0 1 2 | 23.73 | 73 |
| 1 1 3 | 38.16 | 60 |
| 1 2 2 | 43.28 | 35 |
| 1 1 0 | 25.00 | 28 |
| 2 2 0 | 51.30 | 25 |
| 2 0 2 | 34.74 | 24 |
| 2 0 5 | 57.23 | 24 |
| 3 0 3 | 53.21 | 23 |

Structure:
```
data_LiSnCl3
_chemical_formula_sum 'Li3 Sn3 Cl9'
_space_group_name_H-M_alt 'R 3 m'
_space_group_IT_number 160
_space_group_name_Hall 'R 3 -2"'
_cell_length_a 7.1232
_cell_length_b 7.1232
_cell_length_c 9.4435
_cell_angle_alpha 90.00
_cell_angle_beta 90.00
_cell_angle_gamma 120.00
loop_
_atom_site_label
_atom_site_type_symbol
_atom_site_fract_x
_atom_site_fract_y
_atom_site_fract_z
_atom_site_occupancy
Li1 Li 0.0000 0.0000 0.0000 1
Sn1 Sn 0.0000 0.0000 0.6334 1
Cl1 Cl 0.0115 0.5057 0.4739 1
```

=====

No. 6
For LiSnCl3, DFT lattice parameters and positions (PBE) gives the theoretical powder XRD pattern in this record (a wavelength of 1.5418 Å).
Peak positions follow from Bragg's law for the DFT cell and can differ from measured ones.

Peak list (10 most intense, 10° ≤ 2θ ≤ 90°, in order of falling intensity)
| (hkl) | 2θ/deg | Rel. int. |
| --- | --- | --- |
| 0 1 2 | 17.53 | 100 |
| 1 1 6 | 39.11 | 63 |
| 1 0 4 | 24.33 | 60 |
| 2 0 2 | 31.06 | 55 |
| 2 1 4 | 44.17 | 29 |
| 1 1 3 | 29.39 | 27 |
| 0 2 4 | 35.49 | 25 |
| 3 0 0 | 44.84 | 23 |
| 1 2 2 | 40.57 | 23 |
| 1 1 0 | 25.44 | 21 |

Structure:
```
data_LiSnCl3
_chemical_formula_sum 'Li6 Sn6 Cl18'
_space_group_name_H-M_alt 'R 3 c'
_space_group_IT_number 161
_space_group_name_Hall 'R 3 -2"c'
_cell_length_a 7.0020
_cell_length_b 7.0020
_cell_length_c 18.3521
_cell_angle_alpha 90.00
_cell_angle_beta 90.00
_cell_angle_gamma 120.00
loop_
_atom_site_label
_atom_site_type_symbol
_atom_site_fract_x
_atom_site_fract_y
_atom_site_fract_z
_atom_site_occupancy
Li1 Li 0.0000 0.0000 0.0000 1
Sn1 Sn 0.0000 0.0000 0.1957 1
Cl1 Cl 0.0138 0.4123 0.2676 1
```

=====

No. 7
For LiYTl2Cl6, DFT lattice parameters and positions (PBE) gives the theoretical powder XRD pattern in this record (a wavelength of 1.5418 Å).
Peak positions follow from Bragg's law for the DFT cell and can differ from measured ones.

Peak list (10 most intense, 10° ≤ 2θ ≤ 90°, in order of falling intensity)
| (hkl) | 2θ/deg | Rel. int. |
| --- | --- | --- |
| 2 0 2 | 24.16 | 100 |
| -2 2 2 | 29.87 | 86 |
| 2 2 0 | 24.56 | 58 |
| 4 2 2 | 42.99 | 58 |
| 2 0 0 | 17.30 | 37 |
| 0 0 4 | 33.85 | 32 |
| 2 2 -4 | 42.26 | 29 |
| 0 4 0 | 34.95 | 26 |
| 4 0 0 | 35.06 | 25 |
| 0 4 4 | 49.45 | 18 |

Structure:
```
data_LiYTl2Cl6
_chemical_formula_sum 'Li4 Y4 Tl8 Cl24'
_space_group_name_H-M_alt 'P 1'
_space_group_IT_number 1
_cell_length_a 10.2386
_cell_length_b 10.2683
_cell_length_c 10.5927
_cell_angle_alpha 90.07
_cell_angle_beta 90.01
_cell_angle_gamma 90.00
loop_
_space_group_symop_operation_xyz
'x,y,z'
loop_
_atom_site_label
_atom_site_type_symbol
_atom_site_fract_x
_atom_site_fract_y
_atom_site_fract_z
_atom_site_occupancy
Li1 Li 0.0000 0.0000 0.0000 1
Li2 Li 0.9999 0.5001 0.4998 1
Li3 Li 0.4996 0.0002 0.5000 1
Li4 Li 0.4998 0.5001 0.9999 1
Y1 Y 0.0000 0.0000 0.5002 1
Y2 Y 0.9998 0.5001 0.9999 1
Y3 Y 0.4997 0.0002 0.0001 1
Y4 Y 0.4998 0.5001 0.4998 1
Tl1 Tl 0.2482 0.2453 0.2461 1
Tl2 Tl 0.2494 0.7398 0.7548 1
Tl3 Tl 0.2500 0.2601 0.7448 1
Tl4 Tl 0.2507 0.7547 0.2531 1
Tl5 Tl 0.7488 0.2455 0.7466 1
Tl6 Tl 0.7493 0.7411 0.2554 1
Tl7 Tl 0.7500 0.2600 0.2452 1
Tl8 Tl 0.7509 0.7555 0.7538 1
Cl1 Cl 0.0023 0.5000 0.7502 1
Cl2 Cl 0.0290 0.9982 0.2513 1
Cl3 Cl 0.0513 0.2526 0.4997 1
Cl4 Cl 0.0509 0.7529 0.9995 1
Cl5 Cl 0.2473 0.0508 0.9757 1
Cl6 Cl 0.2466 0.5509 0.4995 1
Cl7 Cl 0.2524 0.9495 0.5249 1
Cl8 Cl 0.2531 0.4495 0.9999 1
Cl9 Cl 0.4486 0.2474 0.4993 1
Cl10 Cl 0.4486 0.7476 0.9993 1
Cl11 Cl 0.4706 0.0007 0.2490 1
Cl12 Cl 0.4971 0.4996 0.7495 1
Cl13 Cl 0.5024 0.5011 0.2501 1
Cl14 Cl 0.5286 0.0001 0.7512 1
Cl15 Cl 0.5509 0.2528 0.0008 1
Cl16 Cl 0.5509 0.7529 0.5008 1
Cl17 Cl 0.7468 0.5512 0.9998 1
Cl18 Cl 0.7476 0.0503 0.4753 1
Cl19 Cl 0.7522 0.9500 0.0246 1
Cl20 Cl 0.7530 0.4491 0.5001 1
Cl21 Cl 0.9490 0.2473 0.0006 1
Cl22 Cl 0.9485 0.7475 0.5006 1
Cl23 Cl 0.9708 0.0021 0.7490 1
Cl24 Cl 0.9975 0.5005 0.2496 1
```

=====

No. 8
For LiYTl2Cl6, DFT lattice parameters and positions (PBE) gives the theoretical powder XRD pattern in this record (a wavelength of 1.5418 Å).
Peak positions follow from Bragg's law for the DFT cell and can differ from measured ones.

Peak list (10 most intense, 10° ≤ 2θ ≤ 90°, in order of falling intensity)
| (hkl) | 2θ/deg | Rel. int. |
| --- | --- | --- |
| 2 2 0 | 24.25 | 100 |
| 2 2 2 | 29.82 | 62 |
| 4 0 0 | 34.56 | 58 |
| 4 2 2 | 42.67 | 47 |
| 4 4 0 | 49.69 | 40 |
| 2 0 0 | 17.08 | 31 |
| 6 4 2 | 67.53 | 25 |
| 6 2 2 | 59.03 | 25 |
| 6 2 0 | 56.03 | 22 |
| 4 2 0 | 38.80 | 19 |

Structure:
```
data_LiYTl2Cl6
_chemical_formula_sum 'Li4 Y4 Tl8 Cl24'
_space_group_name_H-M_alt 'F m -3 m'
_space_group_IT_number 225
_space_group_name_Hall '-F 4 2 3'
_cell_length_a 10.3802
_cell_length_b 10.3802
_cell_length_c 10.3802
_cell_angle_alpha 90.00
_cell_angle_beta 90.00
_cell_angle_gamma 90.00
loop_
_atom_site_label
_atom_site_type_symbol
_atom_site_fract_x
_atom_site_fract_y
_atom_site_fract_z
_atom_site_occupancy
Li1 Li 0.0000 0.0000 0.0000 1
Y1 Y 0.0000 0.0000 0.5000 1
Tl1 Tl 0.2500 0.2500 0.2500 1
Cl1 Cl 0.0000 0.0000 0.2469 1
```

=====

No. 9
For LiTm2Cl5, DFT lattice parameters and positions (PBE) gives the theoretical powder XRD pattern in this record (a wavelength of 1.5418 Å).
Peak positions follow from Bragg's law for the DFT cell and can differ from measured ones.

Peak list (10 most intense, 10° ≤ 2θ ≤ 90°, in order of falling intensity)
| (hkl) | 2θ/deg | Rel. int. |
| --- | --- | --- |
| 2 0 0 | 11.63 | 100 |
| 1 1 1 | 19.60 | 72 |
| 3 1 1 | 25.90 | 51 |
| 5 1 -1 | 34.59 | 45 |
| 3 1 -1 | 25.32 | 44 |
| 1 1 0 | 15.15 | 29 |
| 2 2 1 | 33.17 | 29 |
| 1 1 3 | 40.46 | 28 |
| 2 2 -2 | 39.29 | 25 |
| 4 0 2 | 34.69 | 23 |

Structure:
```
data_LiTm2Cl5
_chemical_formula_sum 'Li4 Tm8 Cl20'
_space_group_name_H-M_alt 'C 1 2/c 1'
_space_group_IT_number 15
_cell_length_a 15.2294
_cell_length_b 6.3329
_cell_length_c 7.2791
_cell_angle_alpha 90.00
_cell_angle_beta 91.95
_cell_angle_gamma 90.00
loop_
_space_group_symop_operation_xyz
'x,y,z'
'-x,-y,-z'
'-x,y,-z+1/2'
'x,-y,z+1/2'
'x+1/2,y+1/2,z'
'-x+1/2,-y+1/2,-z'
'-x+1/2,y+1/2,-z+1/2'
'x+1/2,-y+1/2,z+1/2'
loop_
_atom_site_label
_atom_site_type_symbol
_atom_site_fract_x
_atom_site_fract_y
_atom_site_fract_z
_atom_site_occupancy
Li1 Li 0.2500 0.2500 0.0000 1
Tm1 Tm 0.0738 0.1907 0.5646 1
Cl1 Cl 0.0000 0.1185 0.2500 1
Cl2 Cl 0.0889 0.4033 0.8980 1
Cl3 Cl 0.2038 0.0627 0.3334 1
```

=====

No. 10
For Li2UCl6, DFT lattice parameters and positions (PBE) gives the theoretical powder XRD pattern in this record (a wavelength of 1.5418 Å).
Peak positions follow from Bragg's law for the DFT cell and can differ from measured ones.

Peak list (10 most intense, 10° ≤ 2θ ≤ 90°, in order of falling intensity)
| (hkl) | 2θ/deg | Rel. int. |
| --- | --- | --- |
| 1 0 1 | 21.62 | 100 |
| 1 0 0 | 15.85 | 94 |
| 2 -1 1 | 31.39 | 63 |
| 1 1 2 | 40.84 | 43 |
| 0 0 1 | 14.62 | 31 |
| 1 0 2 | 33.64 | 30 |
| 3 -1 1 | 45.45 | 30 |
| 2 0 1 | 35.35 | 30 |
| 3 0 0 | 48.86 | 21 |
| 2 1 2 | 52.81 | 18 |

Structure:
```
data_Li2UCl6
_chemical_formula_sum 'Li2 U1 Cl6'
_space_group_name_H-M_alt 'P -3 1 m'
_space_group_IT_number 162
_space_group_name_Hall '-P 3 2'
_cell_length_a 6.4574
_cell_length_b 6.4574
_cell_length_c 6.0599
_cell_angle_alpha 90.00
_cell_angle_beta 90.00
_cell_angle_gamma 120.00
loop_
_atom_site_label
_atom_site_type_symbol
_atom_site_fract_x
_atom_site_fract_y
_atom_site_fract_z
_atom_site_occupancy
Li1 Li 0.3333 0.6667 0.0000 1
U1 U 0.0000 0.0000 0.5000 1
Cl1 Cl 0.0000 0.3299 0.7564 1
```

=====

No. 11
For Li6VCl8, DFT lattice parameters and positions (PBE) gives the theoretical powder XRD pattern in this record (a wavelength of 1.5418 Å).
Peak positions follow from Bragg's law for the DFT cell and can differ from measured ones.

Peak list (10 most intense, 10° ≤ 2θ ≤ 90°, in order of falling intensity)
| (hkl) | 2θ/deg | Rel. int. |
| --- | --- | --- |
| 4 0 0 | 34.73 | 100 |
| 2 2 2 | 29.96 | 66 |
| 4 4 0 | 49.94 | 62 |
| 1 1 1 | 14.85 | 37 |
| 8 4 0 | 83.74 | 24 |
| 4 4 4 | 62.26 | 20 |
| 6 2 2 | 59.34 | 19 |
| 3 1 1 | 28.66 | 11 |
| 8 0 0 | 73.31 | 9 |
| 5 1 1 | 45.63 | 8 |

Structure:
```
data_Li6VCl8
_chemical_formula_sum 'Li24 V4 Cl32'
_space_group_name_H-M_alt 'F m -3 m'
_space_group_IT_number 225
_space_group_name_Hall '-F 4 2 3'
_cell_length_a 10.3312
_cell_length_b 10.3312
_cell_length_c 10.3312
_cell_angle_alpha 90.00
_cell_angle_beta 90.00
_cell_angle_gamma 90.00
loop_
_atom_site_label
_atom_site_type_symbol
_atom_site_fract_x
_atom_site_fract_y
_atom_site_fract_z
_atom_site_occupancy
Li1 Li 0.0000 0.2500 0.2500 1
V1 V 0.0000 0.0000 0.0000 1
Cl1 Cl 0.0000 0.0000 0.2404 1
Cl2 Cl 0.2500 0.2500 0.2500 1
```